Starting from a PBE-relaxed structure, the powder diffraction line list of KBr was computed for a wavelength of 1.5418 Å.
Intensities are scaled so that the largest is 100.

a b c (Å): 6.7031 6.7031 6.7031
angles (deg): 90.00 90.00 90.00
Fractional coordinates of all 8 atoms:
K (0.0000, 0.0000, 0.0000)
K (0.0000, 0.5000, 0.5000)
K (0.5000, 0.0000, 0.5000)
K (0.5000, 0.5000, 0.0000)
Br (0.0000, 0.0000, 0.5000)
Br (0.0000, 0.5000, 0.0000)
Br (0.5000, 0.0000, 0.0000)
Br (0.5000, 0.5000, 0.5000)

Main lines, by angle (2θ = 5–70°):
2θ (°), d [Å], I_rel, index
23.0, 3.870, 20, 1 1 1
26.6, 3.352, 100, 2 0 0
38.0, 2.370, 74, 2 2 0
44.8, 2.021, 11, 3 1 1
47.0, 1.935, 26, 2 2 2
54.8, 1.676, 12, 4 0 0
60.2, 1.538, 5, 3 3 1
61.9, 1.499, 33, 4 2 0
68.6, 1.368, 24, 4 2 2